Os2C3N6: theoretical X-ray powder pattern (Cu Kα, 1.54184 Å), based on a cell relaxed with PBE.
Peak positions follow from Bragg's law for the DFT cell and can differ from measured ones.

Structure:
a b c (Å): 9.5084 5.2881 10.1535
angles (deg): 90.00 107.59 90.00
Space group C2/c (No. 15)
Inequivalent atoms, fractional coordinates:
Os1 0.0761 0.2248 0.0018 x8
C1 0.0000 0.4380 0.2500 x4
C2 0.1738 0.0871 0.7642 x8
N1 0.0255 0.4399 0.3778 x8
N2 0.1108 0.0612 0.6403 x8
N3 0.2215 0.1243 0.8911 x8

Peak list (10 most intense, 2θ from 5° to 70°, in order of falling intensity)
d/Å	Rel. int.	hkl
4.839	1000	0 0 2
4.397	464	1 1 -1
2.379	412	3 1 1
2.361	411	3 1 -3
2.718	407	3 1 -1
2.320	382	0 2 2
4.532	368	2 0 0
3.907	356	1 1 1
3.958	277	2 0 -2
1.816	195	3 1 3